Structure and simulated X-ray diffraction stick pattern of NaAcH8Pt2 (the PBE geometry in Alexandria; Cu Kα X-rays).
Intensities are scaled so that the largest is 100.

Main lines, low angle first (2θ from 5° to 70°):
| Position (°2θ) | Rel. int. | hkl |
| --- | --- | --- |
| 12.18 | 20.2 | 0 0 3 |
| 22.01 | 16.0 | 1 0 1 |
| 27.17 | 100.0 | 1 0 4 |
| 37.92 | 42.6 | 1 1 0 |
| 39.68 | 36.9 | 0 1 8 |
| 47.27 | 24.3 | 0 2 4 |
| 56.05 | 13.9 | 2 0 8 |
| 62.14 | 20.8 | 2 1 4 |
| 64.61 | 18.2 | 1 1 12 |
| 69.68 | 14.5 | 1 2 8 |

Atomic structure:
```
data_NaAcH8Pt2
_chemical_formula_sum 'Na3 Ac3 H24 Pt6'
_cell_length_a 4.7454
_cell_length_b 4.7454
_cell_length_c 21.8039
_cell_angle_alpha 90.00
_cell_angle_beta 90.00
_cell_angle_gamma 120.00
_symmetry_space_group_name_H-M 'R -3 m'
_symmetry_Int_Tables_number 166
_symmetry_space_group_name_Hall '-R 3 2"'
loop_
_atom_site_label
_atom_site_fract_x
_atom_site_fract_y
_atom_site_fract_z
Na1 0.0000 0.0000 0.0000
Ac1 0.0000 0.0000 0.5000
H1 0.0000 0.0000 0.1721
H2 0.0524 0.5262 0.9791
Pt1 0.0000 0.0000 0.2488
```